Diffraction record for TiV3O8. The powder diffractogram is theoretical, not measured: it uses a DFT-relaxed cell (PBE+U, Alexandria) and copper Kα.
Lines closer than 0.1° are merged.

Main lines, in order of rising 2θ (2θ from 10° to 80°):
2theta	Rel. int.
14.2	45
15.0	34
24.7	100
28.6	54
29.6	32
32.8	19
33.1	21
43.5	29
44.2	30
48.0	35
52.7	20
57.8	26

Structure:
Unit cell a=6.435 b=6.435 c=13.039 alpha=106.05 beta=106.05 gamma=34.26
Element x y z (fractional)
Ti (0.004, 0.996, 0.500)
Ti (0.996, 0.004, 0.000)
V (0.086, 0.099, 0.291)
V (0.099, 0.086, 0.791)
V (0.249, 0.338, 0.989)
V (0.338, 0.249, 0.489)
V (0.390, 0.395, 0.279)
V (0.395, 0.390, 0.779)
O (0.051, 0.058, 0.140)
O (0.058, 0.051, 0.640)
O (0.130, 0.138, 0.459)
O (0.138, 0.130, 0.959)
O (0.245, 0.249, 0.828)
O (0.249, 0.245, 0.328)
O (0.324, 0.326, 0.145)
O (0.326, 0.324, 0.645)
O (0.451, 0.455, 0.968)
O (0.455, 0.451, 0.468)
O (0.549, 0.554, 0.288)
O (0.554, 0.549, 0.788)
O (0.820, 0.827, 0.993)
O (0.827, 0.820, 0.493)
O (0.931, 0.935, 0.316)
O (0.935, 0.931, 0.816)